[1]
The following is a simulated powder XRD pattern of Na6RuN4. It was derived from a cell relaxed with PBE, using a wavelength of 1.5418 Å.
Peak positions follow from Bragg's law for the DFT cell and can differ from measured ones.

Atomic structure:
```
Na6RuN4
1.0
7.5416 0.0000 0.0000
0.0000 7.5416 0.0000
0.0000 0.0000 5.8939
Na Ru N
12 2 8
Direct
0.0427 0.5427 0.2500
0.0427 0.9573 0.2500
0.2500 0.2500 0.0821
0.2500 0.2500 0.5821
0.4573 0.5427 0.2500
0.4573 0.9573 0.2500
0.5427 0.0427 0.7500
0.5427 0.4573 0.7500
0.7500 0.7500 0.4179
0.7500 0.7500 0.9179
0.9573 0.0427 0.7500
0.9573 0.4573 0.7500
0.2500 0.7500 0.7500
0.7500 0.2500 0.2500
0.0368 0.7500 0.5806
0.2500 0.5368 0.9194
0.2500 0.9632 0.9194
0.4632 0.7500 0.5806
0.5368 0.2500 0.4194
0.7500 0.0368 0.0806
0.7500 0.4632 0.0806
0.9632 0.2500 0.4194
```

Largest 12 diffraction maxima, by angle, 10° ≤ 2θ ≤ 90°:
two_theta  d [Å]  Rel. int.
16.62  5.333  42.7
19.11  4.644  100.0
30.33  2.947  18.4
30.54  2.927  91.6
33.61  2.666  40.2
34.78  2.579  39.3
38.95  2.312  54.8
45.90  1.977  31.9
48.27  1.885  25.4
49.15  1.854  22.9
54.02  1.698  25.5
68.92  1.363  19.8

=====

[2]
The following is a simulated powder XRD pattern of Na3RuN2. It was derived from a cell relaxed with PBE, using a wavelength of 1.5418 Å.
Peak positions follow from Bragg's law for the DFT cell and can differ from measured ones.

Atomic structure:
```
Na3RuN2
1.0
-4.5080 4.5080 7.5694
4.5080 -4.5080 7.5694
4.5080 4.5080 -7.5694
Na Ru N
12 4 8
Direct
0.1011 0.3511 0.2021
0.1011 0.8989 0.7500
0.2507 0.5007 0.7500
0.3511 0.1011 0.7021
0.3511 0.6489 0.2500
0.4993 0.7493 0.7500
0.5007 0.2507 0.2500
0.6489 0.3511 0.7500
0.6489 0.8989 0.2979
0.7493 0.4993 0.2500
0.8989 0.1011 0.2500
0.8989 0.6489 0.7979
0.0497 0.7997 0.2500
0.2003 0.9503 0.2500
0.7997 0.0497 0.7500
0.9503 0.2003 0.7500
0.0127 0.0784 0.5657
0.0127 0.4469 0.9343
0.0784 0.0127 0.0657
0.4469 0.0127 0.4343
0.5531 0.9873 0.5657
0.9216 0.9873 0.9343
0.9873 0.5531 0.0657
0.9873 0.9216 0.4343
```

Largest 12 diffraction maxima, by angle, 10° ≤ 2θ ≤ 90°:
two_theta  d [Å]  Rel. int.
11.42  7.746  100.0
18.19  4.876  23.5
19.69  4.508  20.1
22.82  3.896  10.4
27.99  3.188  26.7
30.85  2.899  20.8
33.59  2.668  9.6
36.42  2.467  7.8
38.37  2.346  8.4
40.00  2.254  13.8
47.72  1.906  8.8
48.16  1.890  11.0

=====

[3]
The following is a simulated powder XRD pattern of Na3ScN2. It was derived from a cell relaxed with PBE, using a wavelength of 1.5418 Å.
Peak positions follow from Bragg's law for the DFT cell and can differ from measured ones.

Atomic structure:
```
Na3ScN2
1.0
-5.6107 5.6107 5.6107
5.6107 -5.6107 5.6107
5.6107 5.6107 -5.6107
Na Sc N
24 8 16
Direct
0.0271 0.5552 0.7880
0.0282 0.7672 0.0552
0.0552 0.0282 0.7672
0.2120 0.9729 0.4448
0.2328 0.9448 0.9718
0.2390 0.7120 0.2672
0.2610 0.5282 0.4729
0.2672 0.2390 0.7120
0.2880 0.7328 0.7610
0.4448 0.2120 0.9729
0.4718 0.5271 0.7390
0.4729 0.2610 0.5282
0.5271 0.7390 0.4718
0.5282 0.4729 0.2610
0.5552 0.7880 0.0271
0.7120 0.2672 0.2390
0.7328 0.7610 0.2880
0.7390 0.4718 0.5271
0.7610 0.2880 0.7328
0.7672 0.0552 0.0282
0.7880 0.0271 0.5552
0.9448 0.9718 0.2328
0.9718 0.2328 0.9448
0.9729 0.4448 0.2120
0.0000 0.2784 0.5000
0.0000 0.7216 0.5000
0.2216 0.2216 0.2216
0.2784 0.5000 0.0000
0.5000 0.0000 0.2784
0.5000 0.0000 0.7216
0.7216 0.5000 0.0000
0.7784 0.7784 0.7784
0.0000 0.0000 0.0000
0.0000 0.5000 0.5000
0.0554 0.3054 0.7500
0.1946 0.2500 0.4446
0.2500 0.4446 0.1946
0.2500 0.9446 0.6946
0.3054 0.7500 0.0554
0.4446 0.1946 0.2500
0.5000 0.0000 0.5000
0.5000 0.5000 0.0000
0.5554 0.8054 0.7500
0.6946 0.2500 0.9446
0.7500 0.0554 0.3054
0.7500 0.5554 0.8054
0.8054 0.7500 0.5554
0.9446 0.6946 0.2500
```

Largest 12 diffraction maxima, by angle, 10° ≤ 2θ ≤ 90°:
two_theta  d [Å]  Rel. int.
19.38  4.581  22.5
27.54  3.239  16.0
29.79  2.999  20.5
31.90  2.805  88.1
33.89  2.645  10.9
37.60  2.392  13.9
41.01  2.201  51.1
45.74  1.984  100.0
55.54  1.655  10.7
56.85  1.620  14.5
60.64  1.527  16.0
72.45  1.304  19.1